Structure and theoretical XRD peak list of Ba2USe4 (a DFT-relaxed cell (GGA-PBE, Alexandria); CuKα).
Lines closer than 0.1° are merged.

Structure:
a b c (Å): 8.0961 12.9939 4.5143
angles (deg): 90.00 90.00 90.00
Fractional positions:
Ba 0.0837 0.1804 0.0000
Ba 0.4163 0.6804 0.0000
Ba 0.5837 0.3196 0.0000
Ba 0.9163 0.8196 0.0000
U 0.0000 0.5000 0.5000
U 0.5000 0.0000 0.5000
Se 0.1306 0.6989 0.5000
Se 0.2160 0.4493 0.0000
Se 0.2840 0.9493 0.0000
Se 0.3694 0.1989 0.5000
Se 0.6306 0.8011 0.5000
Se 0.7160 0.0507 0.0000
Se 0.7840 0.5507 0.0000
Se 0.8694 0.3011 0.5000

Peak list (10 most intense, 2θ from 10° to 90°, by angle)
2theta  d (Å)  intensity
12.9  6.871  71
23.3  3.819  69
23.6  3.773  100
29.6  3.015  56
30.4  2.936  73
32.8  2.734  79
39.9  2.257  39
41.6  2.169  70
44.3  2.043  27
63.3  1.469  24

=====

Structure and theoretical XRD peak list of Ba2VSe5 (a DFT-relaxed cell (GGA-PBE, Alexandria); CuKα).
Lines closer than 0.1° are merged.

Structure:
a b c (Å): 6.8972 6.8972 7.5460
angles (deg): 122.11 122.11 61.83
Fractional positions:
Ba 0.0000 0.0000 0.0000
Ba 0.5072 0.5072 0.5019
V 0.6942 0.6942 0.1450
Se 0.0122 0.5068 0.0199
Se 0.4541 0.4541 0.9098
Se 0.5068 0.0122 0.0199
Se 0.5591 0.9600 0.4743
Se 0.9600 0.5591 0.4743

Peak list (10 most intense, 2θ from 10° to 90°, by angle)
2theta  d (Å)  intensity
15.7  5.635  24
17.2  5.165  21
25.6  3.481  33
26.0  3.427  31
30.2  2.962  59
30.9  2.895  60
31.8  2.817  99
34.7  2.583  100
38.8  2.322  32
53.5  1.714  25

=====

Structure and theoretical XRD peak list of BaW4Se7 (a DFT-relaxed cell (GGA-PBE, Alexandria); CuKα).
Lines closer than 0.1° are merged.

Structure:
a b c (Å): 16.4891 6.2017 5.4608
angles (deg): 90.00 90.00 90.00
Fractional positions:
Ba 0.0000 0.1405 0.0000
Ba 0.5000 0.8595 0.5000
W 0.1559 0.6625 0.6183
W 0.2486 0.6557 0.0587
W 0.2514 0.3443 0.5587
W 0.3441 0.3375 0.1183
W 0.6559 0.3375 0.1183
W 0.7486 0.3443 0.5587
W 0.7514 0.6557 0.0587
W 0.8441 0.6625 0.6183
Se 0.0000 0.8157 0.5299
Se 0.0981 0.6495 0.0442
Se 0.1030 0.2991 0.4939
Se 0.2362 0.1001 0.9510
Se 0.2638 0.8999 0.4510
Se 0.3970 0.7009 0.9939
Se 0.4019 0.3505 0.5442
Se 0.5000 0.1843 0.0299
Se 0.5981 0.3505 0.5442
Se 0.6030 0.7009 0.9939
Se 0.7362 0.8999 0.4510
Se 0.7638 0.1001 0.9510
Se 0.8970 0.2991 0.4939
Se 0.9019 0.6495 0.0442

Peak list (10 most intense, 2θ from 10° to 90°, by angle)
2theta  d (Å)  intensity
10.7  8.245  85
14.3  6.202  32
21.6  4.115  32
23.0  3.874  33
32.8  2.730  66
33.2  2.697  53
39.5  2.283  100
40.0  2.257  54
47.2  1.925  41
56.2  1.638  22

=====

Structure and theoretical XRD peak list of BaWSe2 (a DFT-relaxed cell (GGA-PBE, Alexandria); CuKα).
Lines closer than 0.1° are merged.

Structure:
a b c (Å): 7.0210 7.0210 7.0210
angles (deg): 34.67 34.67 34.67
Fractional positions:
Ba 0.0000 0.0000 0.0000
W 0.5000 0.5000 0.5000
Se 0.2263 0.2263 0.2263
Se 0.7737 0.7737 0.7737

Peak list (10 most intense, 2θ from 10° to 90°, by angle)
2theta  d (Å)  intensity
13.4  6.592  16
26.2  3.402  19
27.1  3.296  10
30.6  2.923  100
43.2  2.092  43
44.4  2.042  25
51.8  1.766  11
52.7  1.736  10
53.9  1.701  20
71.5  1.320  18

=====

Structure and theoretical XRD peak list of Ba2Y3Se6 (a DFT-relaxed cell (GGA-PBE, Alexandria); CuKα).
Lines closer than 0.1° are merged.

Structure:
a b c (Å): 7.2745 7.2745 7.9339
angles (deg): 98.78 98.78 119.97
Fractional positions:
Ba 0.1670 0.8330 0.0000
Ba 0.8330 0.1670 0.0000
Y 0.0000 0.0000 0.5000
Y 0.3341 0.6659 0.5000
Y 0.6659 0.3341 0.5000
Se 0.0713 0.4038 0.7121
Se 0.2631 0.2631 0.2865
Se 0.4038 0.0713 0.7121
Se 0.5962 0.9287 0.2879
Se 0.7369 0.7369 0.7135
Se 0.9287 0.5962 0.2879

Peak list (10 most intense, 2θ from 10° to 90°, by angle)
2theta  d (Å)  intensity
14.6  6.073  6
29.2  3.061  100
40.3  2.235  35
43.1  2.100  35
52.9  1.732  19
60.5  1.531  11
66.6  1.404  8
70.5  1.336  15
77.1  1.237  10
79.0  1.213  6

=====

Structure and theoretical XRD peak list of BaYSe4 (a DFT-relaxed cell (GGA-PBE, Alexandria); CuKα).
Lines closer than 0.1° are merged.

Structure:
a b c (Å): 6.0607 6.0607 6.0607
angles (deg): 60.00 60.00 60.00
Fractional positions:
Ba 0.0000 0.0000 0.0000
Y 0.2500 0.2500 0.2500
Se 0.1282 0.6239 0.6239
Se 0.6239 0.1282 0.6239
Se 0.6239 0.6239 0.1282
Se 0.6239 0.6239 0.6239

Peak list (10 most intense, 2θ from 10° to 90°, by angle)
2theta  d (Å)  intensity
29.5  3.030  38
34.7  2.584  100
36.3  2.474  30
52.3  1.750  15
55.7  1.650  34
61.2  1.515  27
72.3  1.307  11
73.3  1.292  11
84.6  1.145  8
87.4  1.116  22

=====

Structure and theoretical XRD peak list of BaZr2Se (a DFT-relaxed cell (GGA-PBE, Alexandria); CuKα).
Lines closer than 0.1° are merged.

Structure:
a b c (Å): 5.1031 5.1031 7.4120
angles (deg): 106.25 106.25 40.59
Fractional positions:
Ba 0.0000 0.0000 0.0000
Zr 0.5886 0.5886 0.5539
Zr 0.8280 0.8280 0.3479
Se 0.3188 0.3188 0.6324

Peak list (10 most intense, 2θ from 10° to 90°, by angle)
2theta  d (Å)  intensity
12.5  7.074  18
25.2  3.537  23
26.2  3.403  29
26.9  3.317  45
31.1  2.875  100
35.1  2.555  27
37.6  2.392  19
38.2  2.358  60
41.6  2.171  26
51.6  1.770  18

=====

Structure and theoretical XRD peak list of BaZr3Se6 (a DFT-relaxed cell (GGA-PBE, Alexandria); CuKα).
Lines closer than 0.1° are merged.

Structure:
a b c (Å): 11.8095 3.8860 12.1278
angles (deg): 90.00 108.79 90.00
Fractional positions:
Ba 0.1056 0.2500 0.3622
Ba 0.8944 0.7500 0.6378
Zr 0.1648 0.2500 0.0374
Zr 0.2925 0.7500 0.7174
Zr 0.4829 0.7500 0.3728
Zr 0.5171 0.2500 0.6272
Zr 0.7075 0.2500 0.2826
Zr 0.8352 0.7500 0.9626
Se 0.0570 0.7500 0.1327
Se 0.1190 0.2500 0.6369
Se 0.2422 0.7500 0.9302
Se 0.3294 0.2500 0.2482
Se 0.3473 0.7500 0.5191
Se 0.4451 0.2500 0.8197
Se 0.5549 0.7500 0.1803
Se 0.6527 0.2500 0.4809
Se 0.6706 0.7500 0.7518
Se 0.7578 0.2500 0.0698
Se 0.8810 0.7500 0.3631
Se 0.9430 0.2500 0.8673

Peak list (10 most intense, 2θ from 10° to 90°, by angle)
2theta  d (Å)  intensity
28.0  3.191  25
29.4  3.036  22
30.4  2.939  100
32.7  2.741  35
33.1  2.708  37
33.3  2.689  21
36.1  2.490  30
45.9  1.977  21
46.2  1.964  24
46.7  1.943  41

=====

Structure and theoretical XRD peak list of Ba3Si23 (a DFT-relaxed cell (GGA-PBE, Alexandria); CuKα).
Lines closer than 0.1° are merged.

Structure:
a b c (Å): 10.3046 10.3046 10.3046
angles (deg): 90.00 90.00 90.00
Fractional positions:
Ba 0.0000 0.2500 0.5000
Ba 0.0000 0.7500 0.5000
Ba 0.2500 0.5000 0.0000
Ba 0.5000 0.0000 0.2500
Ba 0.5000 0.0000 0.7500
Ba 0.7500 0.5000 0.0000
Si 0.0000 0.3044 0.1205
Si 0.0000 0.3044 0.8795
Si 0.0000 0.5000 0.2500
Si 0.0000 0.5000 0.7500
Si 0.0000 0.6956 0.1205
Si 0.0000 0.6956 0.8795
Si 0.1205 0.0000 0.3044
Si 0.1205 0.0000 0.6956
Si 0.1842 0.1842 0.1842
Si 0.1842 0.1842 0.8158
Si 0.1842 0.8158 0.1842
Si 0.1842 0.8158 0.8158
Si 0.1956 0.5000 0.3795
Si 0.1956 0.5000 0.6205
Si 0.2500 0.0000 0.5000
Si 0.3044 0.1205 0.0000
Si 0.3044 0.8795 0.0000
Si 0.3158 0.3158 0.3158
Si 0.3158 0.3158 0.6842
Si 0.3158 0.6842 0.3158
Si 0.3158 0.6842 0.6842
Si 0.3795 0.1956 0.5000
Si 0.3795 0.8044 0.5000
Si 0.5000 0.2500 0.0000
Si 0.5000 0.3795 0.1956
Si 0.5000 0.3795 0.8044
Si 0.5000 0.6205 0.1956
Si 0.5000 0.6205 0.8044
Si 0.5000 0.7500 0.0000
Si 0.6205 0.1956 0.5000
Si 0.6205 0.8044 0.5000
Si 0.6842 0.3158 0.3158
Si 0.6842 0.3158 0.6842
Si 0.6842 0.6842 0.3158
Si 0.6842 0.6842 0.6842
Si 0.6956 0.1205 0.0000
Si 0.6956 0.8795 0.0000
Si 0.7500 0.0000 0.5000
Si 0.8044 0.5000 0.3795
Si 0.8044 0.5000 0.6205
Si 0.8158 0.1842 0.1842
Si 0.8158 0.1842 0.8158
Si 0.8158 0.8158 0.1842
Si 0.8158 0.8158 0.8158
Si 0.8795 0.0000 0.3044
Si 0.8795 0.0000 0.6956

Peak list (10 most intense, 2θ from 10° to 90°, by angle)
2theta  d (Å)  intensity
12.1  7.286  37
19.3  4.608  58
27.4  3.259  29
30.0  2.975  90
31.3  2.858  100
32.5  2.754  95
34.8  2.576  33
47.5  1.914  28
51.7  1.767  55
54.9  1.672  42

=====

Structure and theoretical XRD peak list of Ba2Si3 (a DFT-relaxed cell (GGA-PBE, Alexandria); CuKα).
Lines closer than 0.1° are merged.

Structure:
a b c (Å): 13.4594 13.4594 4.1119
angles (deg): 90.00 90.00 158.12
Fractional positions:
Ba 0.0691 0.9309 0.7500
Ba 0.2015 0.7985 0.2500
Ba 0.7985 0.2015 0.7500
Ba 0.9309 0.0691 0.2500
Si 0.3363 0.6637 0.2500
Si 0.3860 0.6140 0.7500
Si 0.4771 0.5229 0.7500
Si 0.5229 0.4771 0.2500
Si 0.6140 0.3860 0.2500
Si 0.6637 0.3363 0.7500

Peak list (10 most intense, 2θ from 10° to 90°, by angle)
2theta  d (Å)  intensity
17.7  5.015  23
25.5  3.491  51
27.0  3.304  21
29.4  3.036  69
29.7  3.010  100
32.7  2.739  23
35.1  2.554  32
43.9  2.061  24
44.0  2.056  17
53.9  1.702  24

=====

Structure and theoretical XRD peak list of BaSiSn (a DFT-relaxed cell (GGA-PBE, Alexandria); CuKα).
Lines closer than 0.1° are merged.

Structure:
a b c (Å): 8.4221 8.4221 8.4221
angles (deg): 147.59 144.60 48.75
Fractional positions:
Ba 0.3836 0.1336 0.2500
Ba 0.6164 0.8664 0.7500
Si 0.0301 0.2801 0.7500
Si 0.9699 0.7199 0.2500
Sn 0.2007 0.4507 0.7500
Sn 0.7993 0.5493 0.2500

Peak list (10 most intense, 2θ from 10° to 90°, by angle)
2theta  d (Å)  intensity
25.7  3.461  38
28.3  3.156  100
34.1  2.632  44
35.0  2.561  25
38.3  2.351  20
44.0  2.058  18
45.7  1.987  14
52.2  1.753  26
52.9  1.732  15
58.8  1.570  26

=====

> What is the formula in the fourth record?

BaWSe2